Calculated powder XRD pattern of LaAl8Fe4 for Cu Kα (weighted mean of Kα1 and Kα2), from DFT lattice parameters and positions (PBE).
Neutral-atom scattering factors, no anomalous dispersion.

Cell and atoms:
Lattice parameters (Å, degrees): 6.737 6.737 6.737 98.05 98.05 136.04
Element x y z (fractional)
La  0.000  0.000  0.000
Al  0.000  0.344  0.344
Al  0.000  0.656  0.656
Al  0.273  0.500  0.773
Al  0.344  0.000  0.344
Al  0.500  0.273  0.773
Al  0.500  0.727  0.227
Al  0.656  0.000  0.656
Al  0.727  0.500  0.227
Fe  0.000  0.000  0.500
Fe  0.000  0.500  0.000
Fe  0.500  0.000  0.000
Fe  0.500  0.500  0.500

Largest 6 diffraction maxima, low angle first, 15° ≤ 2θ ≤ 90°:
| 2theta | d (Å) | intensity |
| --- | --- | --- |
| 28.6 | 3.124 | 29 |
| 28.7 | 3.110 | 37 |
| 35.3 | 2.543 | 29 |
| 40.9 | 2.206 | 100 |
| 41.2 | 2.190 | 69 |
| 59.4 | 1.555 | 25 |